Record 1
For Y2ScCu, a structure optimized by DFT (PBE) gives the computed X-ray diffraction stick pattern in this record (a wavelength of 1.5418 Å).

Principal peaks in the range 15 to 90 degrees two-theta, by angle:
| 2θ/deg | I/Imax |
| --- | --- |
| 30.68 | 41 |
| 31.54 | 37 |
| 32.05 | 94 |
| 32.93 | 100 |
| 33.77 | 79 |
| 34.80 | 40 |
| 35.82 | 35 |
| 38.66 | 41 |

```
data_Y2ScCu
_chemical_formula_sum 'Y8 Sc4 Cu4'
_symmetry_space_group_name_H-M 'P n m a'
_symmetry_Int_Tables_number 62
_symmetry_space_group_name_Hall '-P 2ac 2n'
_cell_length_a 6.711
_cell_length_b 9.286
_cell_length_c 6.469
_cell_angle_alpha 90.00
_cell_angle_beta 90.00
_cell_angle_gamma 90.00
loop_
_atom_site_label
_atom_site_type_symbol
_atom_site_fract_x
_atom_site_fract_y
_atom_site_fract_z
Y1 Y 0.201 0.058 0.195
Sc1 Sc 0.025 0.250 0.623
Cu1 Cu 0.082 0.750 0.985
```


Record 2
For CaW5, a structure optimized by DFT (PBE) gives the computed X-ray diffraction stick pattern in this record (a wavelength of 1.5418 Å).

Principal peaks in the range 15 to 90 degrees two-theta, by angle:
| 2θ/deg | I/Imax |
| --- | --- |
| 36.68 | 100 |
| 37.10 | 48 |
| 38.22 | 55 |
| 41.93 | 98 |
| 54.32 | 36 |
| 71.62 | 20 |
| 72.88 | 21 |
| 82.13 | 20 |

```
data_CaW5
_chemical_formula_sum 'Ca2 W10'
_symmetry_space_group_name_H-M 'A m m 2'
_symmetry_Int_Tables_number 38
_symmetry_space_group_name_Hall 'A 2 -2'
_cell_length_a 4.709
_cell_length_b 2.674
_cell_length_c 17.212
_cell_angle_alpha 90.00
_cell_angle_beta 90.00
_cell_angle_gamma 90.00
loop_
_atom_site_label
_atom_site_type_symbol
_atom_site_fract_x
_atom_site_fract_y
_atom_site_fract_z
Ca1 Ca 0.000 0.000 0.000
W1 W 0.000 0.000 0.328
W2 W 0.000 0.000 0.672
W3 W 0.500 0.000 0.241
W4 W 0.500 0.000 0.590
W5 W 0.500 0.000 0.890
```


Record 3
For NdY5Tl3, a structure optimized by DFT (PBE) gives the computed X-ray diffraction stick pattern in this record (a wavelength of 1.5418 Å).

Principal peaks in the range 15 to 90 degrees two-theta, by angle:
| 2θ/deg | I/Imax |
| --- | --- |
| 22.98 | 26 |
| 32.57 | 84 |
| 32.89 | 100 |
| 42.61 | 20 |
| 46.96 | 30 |
| 58.52 | 31 |
| 58.72 | 19 |
| 64.88 | 28 |

```
data_NdY5Tl3
_chemical_formula_sum 'Nd2 Y10 Tl6'
_symmetry_space_group_name_H-M 'P 63/m c m'
_symmetry_Int_Tables_number 193
_symmetry_space_group_name_Hall '-P 6c 2'
_cell_length_a 9.4343
_cell_length_b 9.4343
_cell_length_c 6.7678
_cell_angle_alpha 90.00
_cell_angle_beta 90.00
_cell_angle_gamma 120.00
loop_
_atom_site_label
_atom_site_type_symbol
_atom_site_fract_x
_atom_site_fract_y
_atom_site_fract_z
Nd1 Nd 0.0000 0.0000 0.0000
Y1 Y 0.0000 0.3286 0.2500
Y2 Y 0.3333 0.6667 0.0000
Tl1 Tl 0.0000 0.3411 0.7500
```